Entry 1:
This entry pairs a crystal structure of VCrO4 with its simulated powder XRD pattern. Radiation: Cu Kα X-rays. Structure: DFT lattice parameters and positions (PBE+U).
Lines closer than 0.1° are merged.

```
VCrO4
1.0
2.8223 -4.2232 0.0000
2.8223 4.2232 0.0000
0.0000 0.0000 6.1918
V Cr O
2 2 8
direct
0.1451 0.8549 0.7500
0.8549 0.1451 0.2500
0.5000 0.5000 0.0000
0.5000 0.5000 0.5000
0.2429 0.2899 0.2500
0.2651 0.7349 0.5322
0.2651 0.7349 0.9678
0.2899 0.2429 0.7500
0.7101 0.7571 0.2500
0.7349 0.2651 0.0322
0.7349 0.2651 0.4678
0.7571 0.7101 0.7500
```

Top 10 peaks for 10 to 90 degrees two-theta, in order of falling intensity:
two_theta  I_rel
34.7  100
23.8  84
35.6  57
25.5  54
31.7  50
62.6  45
18.9  31
58.4  25
48.7  23
21.0  22

---

Entry 2:
This entry pairs a crystal structure of Li3V2F9 with its simulated powder XRD pattern. Radiation: Cu Kα X-rays. Structure: DFT lattice parameters and positions (PBE+U).
Lines closer than 0.1° are merged.

```
Li3V2F9
1.0
5.0254 -2.6483 0.0000
5.0254 2.6483 0.0000
-0.7951 0.0000 7.3972
Li V F
3 2 9
direct
0.0000 0.0000 0.0000
0.1535 0.5665 0.5383
0.4335 0.8465 0.4617
0.3469 0.3661 0.1523
0.6339 0.6531 0.8477
0.2579 0.6691 0.3332
0.2931 0.1960 0.3546
0.3309 0.7421 0.6668
0.3665 0.6335 0.0000
0.4244 0.0573 0.9543
0.7487 0.1673 0.1895
0.8040 0.7069 0.6454
0.8327 0.2513 0.8105
0.9427 0.5756 0.0457
```

Top 10 peaks for 10 to 90 degrees two-theta, in order of falling intensity:
two_theta  I_rel
12.0  100
23.0  99
19.0  60
20.4  58
22.5  38
28.4  34
38.5  27
22.0  26
47.0  23
52.6  20